Diffraction record for Sm2PbO4. The X-ray diffraction stick pattern is computed, not measured: it uses a PBE-relaxed structure and Cu Kα.
Neutral-atom scattering factors, no anomalous dispersion.

Largest 12 diffraction maxima, in order of falling intensity, 2θ = 15–90°:
2θ = 29.59°, d 3.019, I = 100.0
2θ = 47.16°, d 1.927, I = 41.0
2θ = 51.64°, d 1.770, I = 38.9
2θ = 25.15°, d 3.540, I = 37.9
2θ = 72.51°, d 1.304, I = 23.3
2θ = 30.94°, d 2.891, I = 19.4
2θ = 44.32°, d 2.044, I = 16.5
2θ = 60.64°, d 1.527, I = 13.7
2θ = 83.63°, d 1.156, I = 13.5
2θ = 61.42°, d 1.510, I = 10.0
2θ = 70.36°, d 1.338, I = 9.3
2θ = 58.28°, d 1.583, I = 7.2

Atomic structure:
Unit cell a=7.0806 b=7.0806 c=7.0806 alpha=60.00 beta=60.00 gamma=60.00
Fractional positions:
Sm1 0.0000 0.0000 0.0000
Sm2 0.0000 0.0000 0.5000
Sm3 0.0000 0.5000 0.0000
Sm4 0.5000 0.0000 0.0000
Pb1 0.3750 0.3750 0.3750
Pb2 0.6250 0.6250 0.6250
O1 0.2013 0.7662 0.7662
O2 0.2338 0.2338 0.2338
O3 0.2338 0.2338 0.7987
O4 0.2338 0.7987 0.2338
O5 0.7662 0.2013 0.7662
O6 0.7662 0.7662 0.2013
O7 0.7662 0.7662 0.7662
O8 0.7987 0.2338 0.2338